Diffraction record for K3TlMo2O8. The X-ray diffraction stick pattern is calculated, not measured: it uses a DFT-relaxed cell (GGA+U, Alexandria) and Cu Ka.
No peak broadening, texture or thermal motion is included.

Principal peaks in the range 15° ≤ 2θ ≤ 90°, low angle first:
(hkl)  2theta  intensity
1 0 1  19.32  94
0 1 2  26.92  99
1 1 0  27.97  100
2 0 2  39.21  50
2 1 1  44.76  21
1 0 4  46.88  18
1 2 2  48.85  34
3 0 0  49.49  19
2 2 0  57.81  17
3 1 2  64.89  16

a = 6.3798 Å, b = 6.3798 Å, c = 8.2776 Å
α = 90.00°, β = 90.00°, γ = 120.00°
Space group P-3m1 (No. 164)
Unique sites:
K (0.0000, 0.0000, 0.0000)
K (0.3333, 0.6667, 0.6761)
Tl (0.0000, 0.0000, 0.5000)
Mo (0.3333, 0.6667, 0.1957)
O (0.1803, 0.3606, 0.2723)
O (0.3333, 0.6667, 0.9804)

Diffraction record for CaTl4Ni4O12. The X-ray diffraction stick pattern is calculated, not measured: it uses a DFT-relaxed cell (GGA+U, Alexandria) and Cu Ka.
No peak broadening, texture or thermal motion is included.

Principal peaks in the range 15° ≤ 2θ ≤ 90°, low angle first:
(hkl)  2theta  intensity
0 0 2  20.37  44
1 1 1  21.67  61
1 -1 0  24.44  40
1 0 -2  27.54  37
1 1 -2  31.75  41
1 -1 2  31.90  70
-1 1 2  32.11  38
0 2 1  32.66  100
2 0 1  33.13  36
1 1 3  34.34  71

a = 5.598 Å, b = 5.693 Å, c = 8.843 Å
α = 82.90°, β = 82.46°, γ = 80.35°
Space group P1 (No. 1)
Unique sites:
Ca (0.000, 0.000, 0.000)
Tl (0.102, 0.120, 0.579)
Tl (0.304, 0.328, 0.142)
Tl (0.603, 0.609, 0.644)
Tl (0.614, 0.785, 0.231)
Ni (0.048, 0.558, 0.802)
Ni (0.088, 0.700, 0.390)
Ni (0.555, 0.115, 0.827)
Ni (0.631, 0.211, 0.404)
O (0.012, 0.659, 0.163)
O (0.207, 0.727, 0.621)
O (0.257, 0.012, 0.332)
O (0.355, 0.412, 0.880)
O (0.410, 0.975, 0.013)
O (0.413, 0.498, 0.336)
O (0.475, 0.222, 0.613)
O (0.721, 0.172, 0.187)
O (0.765, 0.813, 0.805)
O (0.768, 0.889, 0.454)
O (0.878, 0.420, 0.463)
O (0.885, 0.277, 0.796)